The following is a computed X-ray powder pattern of La8Tb3. It was derived from a crystal structure in Alexandria, relaxed with GGA-PBE, using Cu Kα, 1.54184 Å.

Crystal structure
abc: 11.6941 5.1957 13.3045
angles: 90.00 104.93 90.00
Space group C2/m (No. 12)
Unique sites:
La1 0.0462 0.0000 0.3176 (multiplicity 4)
La2 0.1369 0.0000 0.9539 (multiplicity 4)
La3 0.1807 0.5000 0.7728 (multiplicity 4)
La4 0.2271 0.0000 0.5896 (multiplicity 4)
Tb1 0.0000 0.5000 0.5000 (multiplicity 2)
Tb2 0.0916 0.5000 0.1344 (multiplicity 4)

Main lines, most intense first (10 to 80 degrees two-theta):
2θ (°), I (rel.)
29.66, 100
49.39, 18
34.21, 17
34.40, 17
34.53, 17
58.82, 14

The following is a computed X-ray powder pattern of La7Tb5. It was derived from a crystal structure in Alexandria, relaxed with GGA-PBE, using Cu Kα, 1.54184 Å.

Crystal structure
abc: 19.1617 3.6915 13.4599
angles: 90.00 118.27 90.00
Space group C2/m (No. 12)
Unique sites:
La1 0.0000 0.0000 0.0000 (multiplicity 2)
La2 0.0270 0.5000 0.2503 (multiplicity 4)
La3 0.1407 0.0000 0.7523 (multiplicity 4)
La4 0.1674 0.0000 0.5035 (multiplicity 4)
Tb1 0.0000 0.5000 0.5000 (multiplicity 2)
Tb2 0.1692 0.5000 0.0053 (multiplicity 4)
Tb3 0.1923 0.0000 0.2478 (multiplicity 4)

Main lines, most intense first (10 to 80 degrees two-theta):
2θ (°), I (rel.)
31.82, 100
28.94, 41
30.15, 34
58.97, 30
49.40, 26
54.61, 21